Record 1
The following is a calculated powder XRD pattern of Sm4InHg5. It was derived from DFT lattice parameters and positions (GGA-PBE), using a wavelength of 1.5418 Å.
Neutral-atom scattering factors, no anomalous dispersion.

Structure:
a b c (Å): 3.8144 3.8144 18.3697
angles (deg): 90.00 90.00 90.00
Positions (direct):
Sm 0.0000 0.0000 0.1023
Sm 0.0000 0.0000 0.3078
Sm 0.0000 0.0000 0.6922
Sm 0.0000 0.0000 0.8977
In 0.0000 0.0000 0.5000
Hg 0.5000 0.5000 0.0000
Hg 0.5000 0.5000 0.2023
Hg 0.5000 0.5000 0.4052
Hg 0.5000 0.5000 0.5948
Hg 0.5000 0.5000 0.7977

Peak list (10 most intense, 5° ≤ 2θ ≤ 70°, low angle first)
2θ 23.32, I = 3
2θ 24.23, I = 2
2θ 33.22, I = 54
2θ 33.88, I = 100
2θ 41.54, I = 2
2θ 47.68, I = 20
2θ 49.63, I = 8
2θ 59.77, I = 40
2θ 61.03, I = 18
2θ 69.73, I = 6


Record 2
The following is a calculated powder XRD pattern of Dy5H2Pb5. It was derived from DFT lattice parameters and positions (GGA-PBE), using a wavelength of 1.5418 Å.
Neutral-atom scattering factors, no anomalous dispersion.

Structure:
a b c (Å): 6.1569 6.1569 11.5706
angles (deg): 92.49 92.49 41.98
Positions (direct):
Dy 0.0000 0.0000 0.0000
Dy 0.0655 0.0655 0.3148
Dy 0.3494 0.3494 0.1851
Dy 0.6506 0.6506 0.8149
Dy 0.9345 0.9345 0.6852
H 0.0754 0.0754 0.8260
H 0.9246 0.9246 0.1740
Pb 0.2219 0.2219 0.6113
Pb 0.3503 0.3503 0.8799
Pb 0.5000 0.5000 0.5000
Pb 0.6497 0.6497 0.1201
Pb 0.7781 0.7781 0.3887

Peak list (10 most intense, 5° ≤ 2θ ≤ 70°, low angle first)
2θ 30.94, I = 14
2θ 31.64, I = 63
2θ 32.09, I = 100
2θ 32.48, I = 18
2θ 34.08, I = 29
2θ 34.19, I = 25
2θ 35.56, I = 17
2θ 40.93, I = 27
2θ 54.28, I = 16
2θ 69.00, I = 11


Record 3
The following is a calculated powder XRD pattern of BaSnAu3. It was derived from DFT lattice parameters and positions (GGA-PBE), using a wavelength of 1.5418 Å.
Neutral-atom scattering factors, no anomalous dispersion.

Structure:
a b c (Å): 7.4356 7.5032 5.4104
angles (deg): 90.00 90.00 90.00
Positions (direct):
Ba 0.0000 0.0000 0.0000
Ba 0.5000 0.5000 0.0000
Sn 0.0000 0.5000 0.5000
Sn 0.5000 0.0000 0.5000
Au 0.0000 0.5000 0.0000
Au 0.2019 0.2028 0.5000
Au 0.2981 0.7028 0.5000
Au 0.5000 0.0000 0.0000
Au 0.7019 0.2972 0.5000
Au 0.7981 0.7972 0.5000

Peak list (10 most intense, 5° ≤ 2θ ≤ 70°, low angle first)
2θ 16.38, I = 19
2θ 16.79, I = 24
2θ 28.96, I = 83
2θ 29.14, I = 81
2θ 31.41, I = 21
2θ 31.54, I = 22
2θ 33.12, I = 74
2θ 33.95, I = 100
2θ 43.03, I = 18
2θ 48.15, I = 76


Record 4
The following is a calculated powder XRD pattern of Sr3In8Pd3. It was derived from DFT lattice parameters and positions (GGA-PBE), using a wavelength of 1.5418 Å.
Neutral-atom scattering factors, no anomalous dispersion.

Structure:
a b c (Å): 9.0778 9.0778 9.7190
angles (deg): 122.01 122.01 31.68
Positions (direct):
Sr 0.0000 0.0000 0.0000
Sr 0.2831 0.2831 0.2859
Sr 0.7169 0.7169 0.7141
In 0.1369 0.1369 0.4334
In 0.1472 0.1472 0.8545
In 0.3489 0.3489 0.7306
In 0.4930 0.4930 0.3281
In 0.5070 0.5070 0.6719
In 0.6511 0.6511 0.2694
In 0.8528 0.8528 0.1455
In 0.8631 0.8631 0.5666
Pd 0.0000 0.0000 0.5000
Pd 0.3428 0.3428 0.0054
Pd 0.6572 0.6572 0.9946

Peak list (10 most intense, 5° ≤ 2θ ≤ 70°, low angle first)
2θ 31.62, I = 75
2θ 31.78, I = 74
2θ 31.89, I = 44
2θ 33.03, I = 44
2θ 35.38, I = 55
2θ 36.25, I = 100
2θ 37.01, I = 44
2θ 41.40, I = 38
2θ 41.85, I = 48
2θ 52.77, I = 31


Record 5
The following is a calculated powder XRD pattern of PmGaSiPd2. It was derived from DFT lattice parameters and positions (GGA-PBE), using a wavelength of 1.5418 Å.
Neutral-atom scattering factors, no anomalous dispersion.

Structure:
a b c (Å): 6.4142 6.4142 6.4142
angles (deg): 144.06 142.72 52.75
Positions (direct):
Pm 0.0000 0.0000 0.0000
Ga 0.2489 0.7489 0.5000
Si 0.6092 0.6092 0.0000
Pd 0.4006 0.4006 0.0000
Pd 0.7291 0.2291 0.5000

Peak list (10 most intense, 5° ≤ 2θ ≤ 70°, low angle first)
2θ 31.13, I = 13
2θ 31.97, I = 29
2θ 32.53, I = 11
2θ 35.17, I = 100
2θ 44.18, I = 20
2θ 45.64, I = 20
2θ 45.85, I = 18
2θ 56.99, I = 11
2θ 65.40, I = 13
2θ 65.57, I = 12


Record 6
The following is a calculated powder XRD pattern of MgCd3. It was derived from DFT lattice parameters and positions (GGA-PBE), using a wavelength of 1.5418 Å.
Neutral-atom scattering factors, no anomalous dispersion.

Structure:
a b c (Å): 6.2498 6.2498 6.2498
angles (deg): 121.47 93.97 114.12
Positions (direct):
Mg 0.2504 0.0004 0.2500
Mg 0.7496 0.9996 0.7500
Cd 0.2497 0.0000 0.7497
Cd 0.2497 0.5000 0.2497
Cd 0.2504 0.5004 0.7500
Cd 0.7503 0.0000 0.2503
Cd 0.7496 0.4996 0.2500
Cd 0.7503 0.5000 0.7503

Peak list (10 most intense, 5° ≤ 2θ ≤ 70°, low angle first)
2θ 19.54, I = 22
2θ 20.83, I = 10
2θ 28.71, I = 18
2θ 33.73, I = 100
2θ 36.17, I = 82
2θ 39.67, I = 63
2θ 42.40, I = 26
2θ 53.97, I = 12
2θ 59.46, I = 37
2θ 66.70, I = 26


Record 7
The following is a calculated powder XRD pattern of CePbSe3. It was derived from DFT lattice parameters and positions (GGA-PBE), using a wavelength of 1.5418 Å.
Neutral-atom scattering factors, no anomalous dispersion.

Structure:
a b c (Å): 7.4977 7.4977 3.8782
angles (deg): 90.00 90.00 120.00
Positions (direct):
Ce 0.0000 0.0000 0.0000
Pb 0.3333 0.6667 0.0000
Se 0.0652 0.3114 0.5000
Se 0.2462 0.9348 0.5000
Se 0.6886 0.7538 0.5000

Peak list (10 most intense, 5° ≤ 2θ ≤ 70°, low angle first)
2θ 13.64, I = 100
2θ 23.73, I = 45
2θ 26.78, I = 15
2θ 33.24, I = 100
2θ 36.08, I = 37
2θ 36.62, I = 20
2θ 41.73, I = 24
2θ 43.65, I = 16
2θ 50.69, I = 14
2θ 54.36, I = 13


Record 8
The following is a calculated powder XRD pattern of Na2Mg3Cd6. It was derived from DFT lattice parameters and positions (GGA-PBE), using a wavelength of 1.5418 Å.
Neutral-atom scattering factors, no anomalous dispersion.

Structure:
a b c (Å): 9.4251 9.4251 3.3657
angles (deg): 90.00 90.00 111.09
Positions (direct):
Na 0.1636 0.1636 0.0000
Na 0.8364 0.8364 0.0000
Mg 0.3197 0.6803 0.0000
Mg 0.5000 0.5000 0.5000
Mg 0.6803 0.3197 0.0000
Cd 0.1199 0.4307 0.5000
Cd 0.1531 0.8469 0.5000
Cd 0.4307 0.1199 0.5000
Cd 0.5693 0.8801 0.5000
Cd 0.8469 0.1531 0.5000
Cd 0.8801 0.5693 0.5000

Peak list (10 most intense, 5° ≤ 2θ ≤ 70°, low angle first)
2θ 11.39, I = 80
2θ 22.89, I = 74
2θ 26.48, I = 100
2θ 30.50, I = 76
2θ 33.60, I = 76
2θ 34.62, I = 72
2θ 35.28, I = 67
2θ 40.82, I = 68
2θ 43.29, I = 50
2θ 66.23, I = 47


What did the fourth record say?
The following is a calculated powder XRD pattern of Sr3In8Pd3. It was derived from DFT lattice parameters and positions (GGA-PBE), using a wavelength of 1.5418 Å.
Neutral-atom scattering factors, no anomalous dispersion.

Structure:
a b c (Å): 9.0778 9.0778 9.7190
angles (deg): 122.01 122.01 31.68
Positions (direct):
Sr 0.0000 0.0000 0.0000
Sr 0.2831 0.2831 0.2859
Sr 0.7169 0.7169 0.7141
In 0.1369 0.1369 0.4334
In 0.1472 0.1472 0.8545
In 0.3489 0.3489 0.7306
In 0.4930 0.4930 0.3281
In 0.5070 0.5070 0.6719
In 0.6511 0.6511 0.2694
In 0.8528 0.8528 0.1455
In 0.8631 0.8631 0.5666
Pd 0.0000 0.0000 0.5000
Pd 0.3428 0.3428 0.0054
Pd 0.6572 0.6572 0.9946

Peak list (10 most intense, 5° ≤ 2θ ≤ 70°, low angle first)
2θ 31.62, I = 75
2θ 31.78, I = 74
2θ 31.89, I = 44
2θ 33.03, I = 44
2θ 35.38, I = 55
2θ 36.25, I = 100
2θ 37.01, I = 44
2θ 41.40, I = 38
2θ 41.85, I = 48
2θ 52.77, I = 31